No. 1
For CsBaIrO4, a GGA-PBE-relaxed structure gives the simulated XRD peak list in this record (Cu Kα X-rays).
No peak broadening, texture or thermal motion is included.

Atomic structure:
```
data_CsBaIrO4
_space_group_name_H-M_alt 'P 1 21/m 1'
_space_group_IT_number 11
_space_group_name_Hall '-P 2yb'
_cell_length_a 6.7790
_cell_length_b 6.0911
_cell_length_c 8.1217
_cell_angle_alpha 90.00
_cell_angle_beta 105.07
_cell_angle_gamma 90.00
loop_
_atom_site_label
_atom_site_fract_x
_atom_site_fract_y
_atom_site_fract_z
Cs1 0.2291 0.2500 0.4488
Ba1 0.2861 0.2500 0.9654
Ir1 0.2525 0.7500 0.1822
O1 0.0785 0.7500 0.3190
O2 0.1047 0.7500 0.9553
O3 0.4732 0.5427 0.2075
```

The 10 most intense peaks (10 to 90 degrees two-theta), in order of falling intensity:
(hkl), d (Å), 2θ/deg, I_rel
1 1 -2, 3.243, 27.50, 100
0 2 0, 3.046, 29.33, 90
1 1 2, 2.716, 32.98, 87
0 1 1, 4.811, 18.44, 86
2 0 0, 3.273, 27.25, 77
2 2 0, 2.230, 40.46, 72
0 1 2, 3.297, 27.04, 70
1 0 1, 4.484, 19.80, 67
2 1 -2, 2.628, 34.12, 55
1 2 -4, 1.688, 54.35, 47

=====

No. 2
For UNbSn, a GGA-PBE-relaxed structure gives the simulated XRD peak list in this record (Cu Kα X-rays).
No peak broadening, texture or thermal motion is included.

Atomic structure:
```
data_UNbSn
_space_group_name_H-M_alt 'P m m n'
_space_group_IT_number 59
_cell_length_a 2.9077
_cell_length_b 5.6899
_cell_length_c 8.4831
_cell_angle_alpha 90.00
_cell_angle_beta 90.00
_cell_angle_gamma 90.00
loop_
_space_group_symop_operation_xyz
'x,y,z'
'-x,-y,-z'
'-x+1/2,-y+1/2,z'
'x+1/2,y+1/2,-z'
'x+1/2,-y,-z'
'-x+1/2,y,z'
'-x,y+1/2,-z'
'x,-y+1/2,z'
loop_
_atom_site_label
_atom_site_fract_x
_atom_site_fract_y
_atom_site_fract_z
U1 0.2500 0.2500 0.2480
Nb1 0.2500 0.7500 0.0561
Sn1 0.2500 0.7500 0.4109
```

The 10 most intense peaks (10 to 90 degrees two-theta), in order of falling intensity:
(hkl), d (Å), 2θ/deg, I_rel
0 1 3, 2.532, 35.45, 100
1 1 2, 2.210, 40.83, 91
0 2 0, 2.845, 31.44, 73
1 0 1, 2.751, 32.55, 71
1 2 1, 1.977, 45.89, 56
0 1 1, 4.725, 18.78, 41
1 3 2, 1.488, 62.42, 27
1 1 4, 1.641, 56.05, 25
0 3 3, 1.575, 58.61, 24
2 1 3, 1.261, 75.39, 24